Starting from a crystal structure in Alexandria, relaxed with PBE, the powder diffraction line list of Ce2ThFe9 was simulated for Cu Kα (λ = 1.5418 Å).
Peak positions follow from Bragg's law for the DFT cell and can differ from measured ones.

Structure:
Unit cell a=8.8122 b=8.8122 c=8.8122 alpha=33.40 beta=33.40 gamma=33.40
Fractional coordinates of all 12 atoms:
Ce (0.1436, 0.1436, 0.1436)
Ce (0.8564, 0.8564, 0.8564)
Th (0.0000, 0.0000, 0.0000)
Fe (0.0835, 0.5810, 0.5810)
Fe (0.3326, 0.3326, 0.3326)
Fe (0.4190, 0.4190, 0.9165)
Fe (0.4190, 0.9165, 0.4190)
Fe (0.5000, 0.5000, 0.5000)
Fe (0.5810, 0.0835, 0.5810)
Fe (0.5810, 0.5810, 0.0835)
Fe (0.6674, 0.6674, 0.6674)
Fe (0.9165, 0.4190, 0.4190)

The 10 most intense peaks (10 to 90 degrees two-theta), most intense first:
- 41.77 deg, I 1000
- 32.37 deg, I 470
- 35.45 deg, I 457
- 41.33 deg, I 326
- 35.32 deg, I 296
- 67.96 deg, I 204
- 63.60 deg, I 194
- 75.01 deg, I 161
- 20.56 deg, I 157
- 61.71 deg, I 142

***

Starting from a crystal structure in Alexandria, relaxed with PBE, the powder diffraction line list of Rb3SbO3 was simulated for Cu Kα (λ = 1.5418 Å).
Peak positions follow from Bragg's law for the DFT cell and can differ from measured ones.

Structure:
Unit cell a=9.9826 b=6.8269 c=10.8356 alpha=90.00 beta=99.26 gamma=90.00
Fractional coordinates of all 28 atoms:
Rb (0.0432, 0.1821, 0.1901)
Rb (0.0432, 0.3179, 0.6901)
Rb (0.3277, 0.1351, 0.9440)
Rb (0.3277, 0.3649, 0.4440)
Rb (0.4317, 0.5784, 0.8121)
Rb (0.4317, 0.9216, 0.3121)
Rb (0.5683, 0.0784, 0.6879)
Rb (0.5683, 0.4216, 0.1879)
Rb (0.6723, 0.6351, 0.5560)
Rb (0.6723, 0.8649, 0.0560)
Rb (0.9568, 0.6821, 0.3099)
Rb (0.9568, 0.8179, 0.8099)
Sb (0.2208, 0.6291, 0.0627)
Sb (0.2208, 0.8709, 0.5627)
Sb (0.7792, 0.1291, 0.4373)
Sb (0.7792, 0.3709, 0.9373)
O (0.1767, 0.5116, 0.8957)
O (0.1767, 0.9884, 0.3957)
O (0.2724, 0.1023, 0.6688)
O (0.2724, 0.3977, 0.1688)
O (0.4012, 0.7461, 0.0558)
O (0.4012, 0.7539, 0.5558)
O (0.5988, 0.2461, 0.4442)
O (0.5988, 0.2539, 0.9442)
O (0.7276, 0.6023, 0.8312)
O (0.7276, 0.8977, 0.3312)
O (0.8233, 0.0116, 0.6043)
O (0.8233, 0.4884, 0.1043)

The 10 most intense peaks (10 to 90 degrees two-theta), most intense first:
- 29.34 deg, I 1000
- 26.04 deg, I 666
- 26.50 deg, I 613
- 28.41 deg, I 555
- 30.14 deg, I 554
- 36.08 deg, I 444
- 48.60 deg, I 308
- 38.87 deg, I 247
- 54.39 deg, I 192
- 15.40 deg, I 158

***

Starting from a crystal structure in Alexandria, relaxed with PBE, the powder diffraction line list of Pm15Y4Er was simulated for Cu Kα (λ = 1.5418 Å).
Peak positions follow from Bragg's law for the DFT cell and can differ from measured ones.

Structure:
Unit cell a=5.1347 b=5.1347 c=25.5931 alpha=90.00 beta=90.00 gamma=90.00
Fractional coordinates of all 20 atoms:
Pm (0.0000, 0.0000, 0.0000)
Pm (0.0000, 0.0000, 0.1993)
Pm (0.0000, 0.0000, 0.3998)
Pm (0.0000, 0.0000, 0.6002)
Pm (0.0000, 0.0000, 0.8007)
Pm (0.0000, 0.5000, 0.0992)
Pm (0.0000, 0.5000, 0.2996)
Pm (0.0000, 0.5000, 0.5000)
Pm (0.0000, 0.5000, 0.7004)
Pm (0.0000, 0.5000, 0.9008)
Pm (0.5000, 0.0000, 0.0992)
Pm (0.5000, 0.0000, 0.2996)
Pm (0.5000, 0.0000, 0.5000)
Pm (0.5000, 0.0000, 0.7004)
Pm (0.5000, 0.0000, 0.9008)
Y (0.5000, 0.5000, 0.1995)
Y (0.5000, 0.5000, 0.3998)
Y (0.5000, 0.5000, 0.6002)
Y (0.5000, 0.5000, 0.8005)
Er (0.5000, 0.5000, 0.0000)

The 10 most intense peaks (10 to 90 degrees two-theta), most intense first:
- 30.18 deg, I 1000
- 50.31 deg, I 360
- 34.95 deg, I 338
- 59.75 deg, I 286
- 35.06 deg, I 168
- 59.90 deg, I 142
- 62.75 deg, I 123
- 81.90 deg, I 116
- 81.77 deg, I 58
- 84.36 deg, I 54

***

Starting from a crystal structure in Alexandria, relaxed with PBE, the powder diffraction line list of Pm3Cd9Hg2 was simulated for Cu Kα (λ = 1.5418 Å).
Peak positions follow from Bragg's law for the DFT cell and can differ from measured ones.

Structure:
Unit cell a=8.8752 b=8.8752 c=8.8752 alpha=148.39 beta=103.64 gamma=84.98
Fractional coordinates of all 14 atoms:
Pm (0.0000, 0.0000, 0.0000)
Pm (0.2940, 0.2940, 0.0000)
Pm (0.7060, 0.7060, 0.0000)
Cd (0.0158, 0.6431, 0.3727)
Cd (0.1275, 0.8526, 0.2748)
Cd (0.2704, 0.6431, 0.6273)
Cd (0.4222, 0.1474, 0.2748)
Cd (0.5000, 0.0000, 0.5000)
Cd (0.5778, 0.8526, 0.7252)
Cd (0.7296, 0.3569, 0.3727)
Cd (0.8725, 0.1474, 0.7252)
Cd (0.9842, 0.3569, 0.6273)
Hg (0.3318, 0.5000, 0.8318)
Hg (0.6682, 0.5000, 0.1682)

The 10 most intense peaks (10 to 90 degrees two-theta), most intense first:
- 32.09 deg, I 1000
- 37.19 deg, I 504
- 33.64 deg, I 426
- 38.35 deg, I 405
- 41.43 deg, I 402
- 31.90 deg, I 391
- 34.08 deg, I 365
- 63.18 deg, I 281
- 49.79 deg, I 223
- 63.86 deg, I 166

***

Starting from a crystal structure in Alexandria, relaxed with PBE, the powder diffraction line list of Mg8Cd2Ga3 was simulated for Cu Kα (λ = 1.5418 Å).
Peak positions follow from Bragg's law for the DFT cell and can differ from measured ones.

Structure:
Unit cell a=4.9708 b=7.2697 c=8.2042 alpha=81.16 beta=88.84 gamma=72.28
Fractional coordinates of all 13 atoms:
Mg (0.0525, 0.3787, 0.3361)
Mg (0.1806, 0.1303, 0.0332)
Mg (0.2870, 0.9271, 0.4200)
Mg (0.4244, 0.6415, 0.1510)
Mg (0.5756, 0.3585, 0.8490)
Mg (0.7130, 0.0729, 0.5800)
Mg (0.8194, 0.8697, 0.9668)
Mg (0.9475, 0.6213, 0.6639)
Cd (0.3606, 0.7963, 0.7945)
Cd (0.6394, 0.2037, 0.2055)
Ga (0.1443, 0.2144, 0.6852)
Ga (0.5000, 0.5000, 0.5000)
Ga (0.8557, 0.7856, 0.3148)

The 10 most intense peaks (10 to 90 degrees two-theta), most intense first:
- 36.18 deg, I 1000
- 21.46 deg, I 985
- 37.11 deg, I 880
- 38.22 deg, I 840
- 37.28 deg, I 813
- 36.92 deg, I 807
- 37.88 deg, I 793
- 21.97 deg, I 580
- 23.72 deg, I 440
- 51.32 deg, I 299

***

Starting from a crystal structure in Alexandria, relaxed with PBE, the powder diffraction line list of Ba3UTe6 was simulated for Cu Kα (λ = 1.5418 Å).
Peak positions follow from Bragg's law for the DFT cell and can differ from measured ones.

Structure:
Unit cell a=9.6316 b=9.6316 c=9.6316 alpha=97.51 beta=97.51 gamma=97.51
Fractional coordinates of all 20 atoms:
Ba (0.1025, 0.2876, 0.6317)
Ba (0.2876, 0.6317, 0.1025)
Ba (0.3683, 0.8975, 0.7124)
Ba (0.6317, 0.1025, 0.2876)
Ba (0.7124, 0.3683, 0.8975)
Ba (0.8975, 0.7124, 0.3683)
U (0.0000, 0.0000, 0.0000)
U (0.5000, 0.5000, 0.5000)
Te (0.0128, 0.9350, 0.6954)
Te (0.0650, 0.3046, 0.9872)
Te (0.2052, 0.5504, 0.4260)
Te (0.3046, 0.9872, 0.0650)
Te (0.4260, 0.2052, 0.5504)
Te (0.4496, 0.5740, 0.7948)
Te (0.5504, 0.4260, 0.2052)
Te (0.5740, 0.7948, 0.4496)
Te (0.6954, 0.0128, 0.9350)
Te (0.7948, 0.4496, 0.5740)
Te (0.9350, 0.6954, 0.0128)
Te (0.9872, 0.0650, 0.3046)

The 10 most intense peaks (10 to 90 degrees two-theta), most intense first:
- 28.52 deg, I 1000
- 31.28 deg, I 831
- 14.23 deg, I 399
- 32.72 deg, I 382
- 18.80 deg, I 294
- 19.72 deg, I 293
- 33.56 deg, I 264
- 12.22 deg, I 250
- 43.62 deg, I 221
- 45.14 deg, I 209

***

What did the sixth record say?
Starting from a crystal structure in Alexandria, relaxed with PBE, the powder diffraction line list of Ba3UTe6 was simulated for Cu Kα (λ = 1.5418 Å).
Peak positions follow from Bragg's law for the DFT cell and can differ from measured ones.

Structure:
Unit cell a=9.6316 b=9.6316 c=9.6316 alpha=97.51 beta=97.51 gamma=97.51
Fractional coordinates of all 20 atoms:
Ba (0.1025, 0.2876, 0.6317)
Ba (0.2876, 0.6317, 0.1025)
Ba (0.3683, 0.8975, 0.7124)
Ba (0.6317, 0.1025, 0.2876)
Ba (0.7124, 0.3683, 0.8975)
Ba (0.8975, 0.7124, 0.3683)
U (0.0000, 0.0000, 0.0000)
U (0.5000, 0.5000, 0.5000)
Te (0.0128, 0.9350, 0.6954)
Te (0.0650, 0.3046, 0.9872)
Te (0.2052, 0.5504, 0.4260)
Te (0.3046, 0.9872, 0.0650)
Te (0.4260, 0.2052, 0.5504)
Te (0.4496, 0.5740, 0.7948)
Te (0.5504, 0.4260, 0.2052)
Te (0.5740, 0.7948, 0.4496)
Te (0.6954, 0.0128, 0.9350)
Te (0.7948, 0.4496, 0.5740)
Te (0.9350, 0.6954, 0.0128)
Te (0.9872, 0.0650, 0.3046)

The 10 most intense peaks (10 to 90 degrees two-theta), most intense first:
- 28.52 deg, I 1000
- 31.28 deg, I 831
- 14.23 deg, I 399
- 32.72 deg, I 382
- 18.80 deg, I 294
- 19.72 deg, I 293
- 33.56 deg, I 264
- 12.22 deg, I 250
- 43.62 deg, I 221
- 45.14 deg, I 209